Record 1
The following is a calculated XRD peak list of CaGa3H12. It was derived from the PBE geometry in Alexandria, using Cu Kα (weighted mean of Kα1 and Kα2).
No peak broadening, texture or thermal motion is included.

Peak list (10 most intense, 2θ from 10° to 90°, in order of falling intensity)
(hkl)  2θ (°)  d [Å]  I (rel.)
1 1 3  25.24  3.528  100
3 0 6  46.65  1.947  38
3 0 0  37.32  2.409  27
0 0 6  26.99  3.304  21
1 1 6  34.63  2.590  18
0 1 2  15.17  5.840  16
1 1 12  60.30  1.535  14
2 2 3  45.59  1.990  14
1 1 0  21.29  4.173  10
2 1 1  33.10  2.706  8

Atomic structure:
```
data_CaGa3H12
_space_group_name_H-M_alt 'R 3 c'
_space_group_IT_number 161
_space_group_name_Hall 'R 3 -2"c'
_cell_length_a 8.3461
_cell_length_b 8.3461
_cell_length_c 19.8219
_cell_angle_alpha 90.00
_cell_angle_beta 90.00
_cell_angle_gamma 120.00
loop_
_atom_site_label
_atom_site_type_symbol
_atom_site_fract_x
_atom_site_fract_y
_atom_site_fract_z
Ca1 Ca 0.0000 0.0000 0.0000
Ga1 Ga 0.0366 0.3684 0.2885
H1 H 0.0046 0.4774 0.3564
H2 H 0.0472 0.5102 0.4798
H3 H 0.0709 0.5088 0.6026
H4 H 0.1054 0.5449 0.2406
```


Record 2
The following is a calculated XRD peak list of MgTl8In2. It was derived from the PBE geometry in Alexandria, using Cu Kα (weighted mean of Kα1 and Kα2).
No peak broadening, texture or thermal motion is included.

Peak list (10 most intense, 2θ from 10° to 90°, in order of falling intensity)
(hkl)  2θ (°)  d [Å]  I (rel.)
1 1 3  32.44  2.760  100
2 0 0  37.32  2.410  42
3 1 3  64.24  1.450  29
1 1 2  29.10  3.069  23
1 1 8  58.94  1.567  19
2 0 5  49.75  1.833  18
0 0 5  31.69  2.823  15
2 2 0  53.80  1.704  15
3 1 8  83.89  1.153  14
2 0 6  54.51  1.683  12

Atomic structure:
```
data_MgTl8In2
_space_group_name_H-M_alt 'P 4/m m m'
_space_group_IT_number 123
_space_group_name_Hall '-P 4 2'
_cell_length_a 4.819
_cell_length_b 4.819
_cell_length_c 14.116
_cell_angle_alpha 90.00
_cell_angle_beta 90.00
_cell_angle_gamma 90.00
loop_
_atom_site_label
_atom_site_type_symbol
_atom_site_fract_x
_atom_site_fract_y
_atom_site_fract_z
Mg1 Mg 0.000 0.000 0.000
Tl1 Tl 0.000 0.500 0.136
Tl2 Tl 0.000 0.500 0.500
Tl3 Tl 0.500 0.500 0.314
In1 In 0.000 0.000 0.313
```


Record 3
The following is a calculated XRD peak list of RbPb. It was derived from the PBE geometry in Alexandria, using Cu Kα (weighted mean of Kα1 and Kα2).
No peak broadening, texture or thermal motion is included.

Peak list (10 most intense, 2θ from 10° to 90°, in order of falling intensity)
(hkl)  2θ (°)  d [Å]  I (rel.)
1 1 2  13.70  6.464  100
3 2 1  26.99  3.304  67
2 1 5  27.96  3.191  59
4 0 0  29.56  3.022  57
3 2 5  35.10  2.556  32
3 2 3  29.91  2.987  31
4 0 2  30.96  2.889  26
1 1 6  29.04  3.074  26
1 1 10  47.21  1.925  26
2 0 0  14.66  6.041  25

Atomic structure:
```
data_RbPb
_space_group_name_H-M_alt 'I 41/a c d'
_space_group_IT_number 142
_cell_length_a 12.082
_cell_length_b 12.082
_cell_length_c 19.772
_cell_angle_alpha 90.00
_cell_angle_beta 90.00
_cell_angle_gamma 90.00
loop_
_space_group_symop_operation_xyz
'x,y,z'
'-x,-y,-z'
'-y+1/4,x+3/4,z+1/4'
'y+1/4,-x+3/4,-z+1/4'
'-x+1/2,-y,z+1/2'
'x+1/2,y,-z+1/2'
'y+1/4,-x+1/4,z+3/4'
'-y+1/4,x+1/4,-z+3/4'
'x,-y,-z+1/2'
'-x,y,z+1/2'
'-y+1/4,-x+1/4,-z+1/4'
'y+1/4,x+1/4,z+1/4'
'-x+1/2,y,-z'
'x+1/2,-y,z'
'y+1/4,x+3/4,-z+3/4'
'-y+1/4,-x+3/4,z+3/4'
'x+1/2,y+1/2,z+1/2'
'-x+1/2,-y+1/2,-z+1/2'
'-y+3/4,x+1/4,z+3/4'
'y+3/4,-x+1/4,-z+3/4'
'-x,-y+1/2,z'
'x,y+1/2,-z'
'y+3/4,-x+3/4,z+1/4'
'-y+3/4,x+3/4,-z+1/4'
'x+1/2,-y+1/2,-z'
'-x+1/2,y+1/2,z'
'-y+3/4,-x+3/4,-z+3/4'
'y+3/4,x+3/4,z+3/4'
'-x,y+1/2,-z+1/2'
'x,-y+1/2,z+1/2'
'y+3/4,x+1/4,-z+1/4'
'-y+3/4,-x+1/4,z+1/4'
loop_
_atom_site_label
_atom_site_type_symbol
_atom_site_fract_x
_atom_site_fract_y
_atom_site_fract_z
Rb1 Rb 0.121 0.129 0.125
Rb2 Rb 0.135 0.000 0.750
Pb1 Pb 0.061 0.135 0.932
```


Record 4
The following is a calculated XRD peak list of Na5B7C3. It was derived from the PBE geometry in Alexandria, using Cu Kα (weighted mean of Kα1 and Kα2).
No peak broadening, texture or thermal motion is included.

Peak list (10 most intense, 2θ from 10° to 90°, in order of falling intensity)
(hkl)  2θ (°)  d [Å]  I (rel.)
8 0 -4  42.13  2.145  100
2 0 -6  40.93  2.205  18
6 0 2  41.03  2.200  18
1 1 2  36.24  2.479  12
3 1 6  63.52  1.465  12
2 0 4  34.95  2.568  8
6 2 2  80.71  1.191  7
11 1 2  79.33  1.208  6
8 2 -4  81.52  1.181  6
11 1 -8  76.99  1.238  6

Atomic structure:
```
data_Na5B7C3
_space_group_name_H-M_alt 'C 1 m 1'
_space_group_IT_number 8
_cell_length_a 17.878
_cell_length_b 2.830
_cell_length_c 13.394
_cell_angle_alpha 90.00
_cell_angle_beta 113.24
_cell_angle_gamma 90.00
loop_
_space_group_symop_operation_xyz
'x,y,z'
'x,-y,z'
'x+1/2,y+1/2,z'
'x+1/2,-y+1/2,z'
loop_
_atom_site_label
_atom_site_type_symbol
_atom_site_fract_x
_atom_site_fract_y
_atom_site_fract_z
Na1 Na 0.000 0.000 0.000
Na2 Na 0.002 0.000 0.493
Na3 Na 0.100 0.500 0.199
Na4 Na 0.102 0.500 0.695
Na5 Na 0.199 0.000 0.397
Na6 Na 0.202 0.000 0.899
Na7 Na 0.297 0.500 0.597
Na8 Na 0.301 0.500 0.099
Na9 Na 0.400 0.000 0.798
Na10 Na 0.401 0.000 0.296
B1 B 0.028 0.000 0.802
B2 B 0.064 0.500 0.373
B3 B 0.070 0.500 0.888
B4 B 0.134 0.500 0.017
B5 B 0.162 0.000 0.568
B6 B 0.174 0.000 0.096
B7 B 0.233 0.000 0.712
B8 B 0.241 0.000 0.229
B9 B 0.274 0.500 0.795
B10 B 0.333 0.500 0.412
B11 B 0.369 0.000 0.987
B12 B 0.424 0.000 0.592
B13 B 0.465 0.500 0.675
B14 B 0.466 0.500 0.180
C1 C 0.031 0.000 0.309
C2 C 0.130 0.500 0.503
C3 C 0.271 0.500 0.288
C4 C 0.337 0.500 0.922
C5 C 0.364 0.000 0.473
C6 C 0.433 0.000 0.116
```


Record 5
The following is a calculated XRD peak list of GdGaIr. It was derived from the PBE geometry in Alexandria, using Cu Kα (weighted mean of Kα1 and Kα2).
No peak broadening, texture or thermal motion is included.

Peak list (10 most intense, 2θ from 10° to 90°, in order of falling intensity)
(hkl)  2θ (°)  d [Å]  I (rel.)
1 0 3  37.07  2.425  100
1 1 0  39.50  2.281  47
2 1 3  70.05  1.343  31
1 1 6  65.16  1.432  17
2 0 0  57.10  1.613  16
1 0 1  28.83  3.097  16
0 0 2  16.06  5.518  15
1 0 7  65.95  1.416  9
1 1 4  52.02  1.758  8
2 0 6  78.94  1.213  8

Atomic structure:
```
data_GdGaIr
_space_group_name_H-M_alt 'I 4 m m'
_space_group_IT_number 107
_space_group_name_Hall 'I 4 -2'
_cell_length_a 3.226
_cell_length_b 3.226
_cell_length_c 11.035
_cell_angle_alpha 90.00
_cell_angle_beta 90.00
_cell_angle_gamma 90.00
loop_
_atom_site_label
_atom_site_type_symbol
_atom_site_fract_x
_atom_site_fract_y
_atom_site_fract_z
Gd1 Gd 0.000 0.000 0.000
Ga1 Ga 0.000 0.000 0.703
Ir1 Ir 0.000 0.000 0.321
```


Record 6
The following is a calculated XRD peak list of CsHSO4. It was derived from the PBE geometry in Alexandria, using Cu Kα (weighted mean of Kα1 and Kα2).
No peak broadening, texture or thermal motion is included.

Peak list (10 most intense, 2θ from 10° to 90°, in order of falling intensity)
(hkl)  2θ (°)  d [Å]  I (rel.)
0 1 2  23.51  3.783  100
2 1 -2  26.63  3.347  83
2 0 0  24.52  3.631  40
0 2 0  29.93  2.985  26
2 2 0  39.06  2.306  24
2 1 2  40.52  2.226  21
1 1 0  19.25  4.612  17
2 0 -4  32.29  2.773  17
1 2 -2  34.12  2.628  16
3 1 -4  39.99  2.255  16

Atomic structure:
```
data_CsHSO4
_space_group_name_H-M_alt 'P 1 21/c 1'
_space_group_IT_number 14
_cell_length_a 8.391
_cell_length_b 5.970
_cell_length_c 11.302
_cell_angle_alpha 90.00
_cell_angle_beta 120.06
_cell_angle_gamma 90.00
loop_
_space_group_symop_operation_xyz
'x,y,z'
'-x,-y,-z'
'-x,y+1/2,-z+1/2'
'x,-y+1/2,z+1/2'
loop_
_atom_site_label
_atom_site_type_symbol
_atom_site_fract_x
_atom_site_fract_y
_atom_site_fract_z
Cs1 Cs 0.214 0.239 0.349
H1 H 0.468 0.507 0.717
S1 S 0.259 0.737 0.099
O1 O 0.117 0.737 0.956
O2 O 0.194 0.750 0.197
O3 O 0.374 0.540 0.616
O4 O 0.391 0.548 0.132
```


Record 7
The following is a calculated XRD peak list of ThTa2Se4Br2. It was derived from the PBE geometry in Alexandria, using Cu Kα (weighted mean of Kα1 and Kα2).
No peak broadening, texture or thermal motion is included.

Peak list (10 most intense, 2θ from 10° to 90°, in order of falling intensity)
(hkl)  2θ (°)  d [Å]  I (rel.)
0 0 3  11.74  7.535  100
0 1 5  35.24  2.547  57
1 0 0  28.97  3.082  31
0 1 8  43.45  2.083  31
1 1 0  51.35  1.779  25
1 0 3  31.36  2.853  25
0 1 4  33.11  2.706  20
1 1 3  52.87  1.732  14
1 0 6  37.71  2.386  11
2 0 5  63.81  1.459  10

Atomic structure:
```
data_ThTa2Se4Br2
_space_group_name_H-M_alt 'P 3 m 1'
_space_group_IT_number 156
_cell_length_a 3.5589
_cell_length_b 3.5589
_cell_length_c 22.6062
_cell_angle_alpha 90.00
_cell_angle_beta 90.00
_cell_angle_gamma 120.00
loop_
_space_group_symop_operation_xyz
'x,y,z'
'-y,x-y,z'
'-x+y,-x,z'
'-y,-x,z'
'-x+y,y,z'
'x,x-y,z'
loop_
_atom_site_label
_atom_site_type_symbol
_atom_site_fract_x
_atom_site_fract_y
_atom_site_fract_z
Th1 Th 0.0000 0.0000 0.0000
Ta1 Ta 0.0000 0.0000 0.6466
Ta2 Ta 0.6667 0.3333 0.3347
Se1 Se 0.0000 0.0000 0.2616
Se2 Se 0.0000 0.0000 0.4075
Se3 Se 0.6667 0.3333 0.5738
Se4 Se 0.6667 0.3333 0.7198
Br1 Br 0.6667 0.3333 0.0978
Br2 Br 0.6667 0.3333 0.9021
```


Record 8
The following is a calculated XRD peak list of Cs6WBr12. It was derived from the PBE geometry in Alexandria, using Cu Kα (weighted mean of Kα1 and Kα2).
No peak broadening, texture or thermal motion is included.

Peak list (10 most intense, 2θ from 10° to 90°, in order of falling intensity)
(hkl)  2θ (°)  d [Å]  I (rel.)
0 0 6  28.55  3.126  100
1 2 2  21.82  4.074  84
4 -3 4  33.07  2.708  81
0 4 2  31.41  2.848  57
2 0 2  17.59  5.043  49
4 0 4  35.60  2.522  37
3 0 0  22.28  3.990  35
3 1 8  47.50  1.914  34
5 -3 2  34.02  2.635  33
4 -2 6  38.87  2.317  30

Atomic structure:
```
data_Cs6WBr12
_space_group_name_H-M_alt 'R -3'
_space_group_IT_number 148
_space_group_name_Hall '-R 3'
_cell_length_a 13.8211
_cell_length_b 13.8211
_cell_length_c 18.7354
_cell_angle_alpha 90.00
_cell_angle_beta 90.00
_cell_angle_gamma 120.00
loop_
_atom_site_label
_atom_site_type_symbol
_atom_site_fract_x
_atom_site_fract_y
_atom_site_fract_z
Cs1 Cs 0.0125 0.7423 0.2419
W1 W 0.0000 0.0000 0.5000
Br1 Br 0.0113 0.7526 0.7436
Br2 Br 0.0635 0.1682 0.5766
```


Record 9
The following is a calculated XRD peak list of Tb3Al3Cu8. It was derived from the PBE geometry in Alexandria, using Cu Kα (weighted mean of Kα1 and Kα2).
No peak broadening, texture or thermal motion is included.

Peak list (10 most intense, 2θ from 10° to 90°, in order of falling intensity)
(hkl)  2θ (°)  d [Å]  I (rel.)
1 3 0  37.46  2.401  100
1 2 3  36.45  2.465  75
2 0 0  42.89  2.109  55
1 1 4  36.99  2.430  40
0 2 4  35.00  2.564  40
1 1 0  23.41  3.799  35
1 0 3  29.97  2.981  34
2 3 3  58.24  1.584  24
2 2 4  56.51  1.629  19
1 0 5  41.64  2.169  18

Atomic structure:
```
data_Tb3Al3Cu8
_space_group_name_H-M_alt 'I m m m'
_space_group_IT_number 71
_space_group_name_Hall '-I 2 2'
_cell_length_a 4.217
_cell_length_b 8.762
_cell_length_c 12.646
_cell_angle_alpha 90.00
_cell_angle_beta 90.00
_cell_angle_gamma 90.00
loop_
_atom_site_label
_atom_site_type_symbol
_atom_site_fract_x
_atom_site_fract_y
_atom_site_fract_z
Tb1 Tb 0.000 0.000 0.000
Tb2 Tb 0.000 0.000 0.294
Al1 Al 0.000 0.206 0.500
Al2 Al 0.000 0.500 0.000
Cu1 Cu 0.000 0.286 0.129
Cu2 Cu 0.000 0.355 0.332
```


Record 10
The following is a calculated XRD peak list of Tb4Pr2Tl. It was derived from the PBE geometry in Alexandria, using Cu Kα (weighted mean of Kα1 and Kα2).
No peak broadening, texture or thermal motion is included.

Peak list (10 most intense, 2θ from 10° to 90°, in order of falling intensity)
(hkl)  2θ (°)  d [Å]  I (rel.)
0 2 2  30.85  2.899  100
1 0 3  31.28  2.860  87
2 0 -1  30.71  2.912  77
1 0 -4  31.80  2.814  73
1 2 -2  32.97  2.716  40
1 2 1  32.76  2.734  35
0 2 0  26.40  3.376  28
0 2 3  35.62  2.520  23
2 1 -2  34.58  2.594  22
1 4 3  64.06  1.453  22

Atomic structure:
```
data_Tb4Pr2Tl
_space_group_name_H-M_alt 'P 1 21/m 1'
_space_group_IT_number 11
_cell_length_a 5.825
_cell_length_b 6.751
_cell_length_c 11.683
_cell_angle_alpha 90.00
_cell_angle_beta 103.35
_cell_angle_gamma 90.00
loop_
_space_group_symop_operation_xyz
'x,y,z'
'-x,-y,-z'
'-x,y+1/2,-z'
'x,-y+1/2,z'
loop_
_atom_site_label
_atom_site_type_symbol
_atom_site_fract_x
_atom_site_fract_y
_atom_site_fract_z
Tb1 Tb 0.094 0.250 0.128
Tb2 Tb 0.286 0.750 0.434
Tb3 Tb 0.344 0.508 0.714
Pr1 Pr 0.161 0.250 0.426
Pr2 Pr 0.477 0.750 0.026
Tl1 Tl 0.046 0.750 0.164
```


Record 11
The following is a calculated XRD peak list of Pa2Cu5Pt4. It was derived from the PBE geometry in Alexandria, using Cu Kα (weighted mean of Kα1 and Kα2).
No peak broadening, texture or thermal motion is included.

Peak list (10 most intense, 2θ from 10° to 90°, in order of falling intensity)
(hkl)  2θ (°)  d [Å]  I (rel.)
1 3 3  38.88  2.316  100
0 0 4  20.60  4.311  84
2 0 4  41.49  2.177  79
1 3 1  35.86  2.504  69
0 0 8  41.91  2.155  42
1 3 7  51.79  1.765  40
1 3 5  44.40  2.040  37
2 0 0  35.60  2.522  31
1 3 11  70.69  1.333  22
3 3 3  66.13  1.413  21

Atomic structure:
```
data_Pa2Cu5Pt4
_space_group_name_H-M_alt 'F m m m'
_space_group_IT_number 69
_space_group_name_Hall '-F 2 2'
_cell_length_a 5.043
_cell_length_b 8.778
_cell_length_c 17.243
_cell_angle_alpha 90.00
_cell_angle_beta 90.00
_cell_angle_gamma 90.00
loop_
_atom_site_label
_atom_site_type_symbol
_atom_site_fract_x
_atom_site_fract_y
_atom_site_fract_z
Pa1 Pa 0.000 0.000 0.138
Cu1 Cu 0.000 0.000 0.500
Cu2 Cu 0.250 0.250 0.000
Cu3 Cu 0.250 0.250 0.250
Pt1 Pt 0.000 0.162 0.373
```


- Number 6 is which compound?
  CsHSO4


Copy entry 9 word for word.
The following is a calculated XRD peak list of Tb3Al3Cu8. It was derived from the PBE geometry in Alexandria, using Cu Kα (weighted mean of Kα1 and Kα2).
No peak broadening, texture or thermal motion is included.

Peak list (10 most intense, 2θ from 10° to 90°, in order of falling intensity)
(hkl)  2θ (°)  d [Å]  I (rel.)
1 3 0  37.46  2.401  100
1 2 3  36.45  2.465  75
2 0 0  42.89  2.109  55
1 1 4  36.99  2.430  40
0 2 4  35.00  2.564  40
1 1 0  23.41  3.799  35
1 0 3  29.97  2.981  34
2 3 3  58.24  1.584  24
2 2 4  56.51  1.629  19
1 0 5  41.64  2.169  18

Atomic structure:
```
data_Tb3Al3Cu8
_space_group_name_H-M_alt 'I m m m'
_space_group_IT_number 71
_space_group_name_Hall '-I 2 2'
_cell_length_a 4.217
_cell_length_b 8.762
_cell_length_c 12.646
_cell_angle_alpha 90.00
_cell_angle_beta 90.00
_cell_angle_gamma 90.00
loop_
_atom_site_label
_atom_site_type_symbol
_atom_site_fract_x
_atom_site_fract_y
_atom_site_fract_z
Tb1 Tb 0.000 0.000 0.000
Tb2 Tb 0.000 0.000 0.294
Al1 Al 0.000 0.206 0.500
Al2 Al 0.000 0.500 0.000
Cu1 Cu 0.000 0.286 0.129
Cu2 Cu 0.000 0.355 0.332
```